This entry pairs a crystal structure of NdBiWO6 with its theoretical powder diffractogram. Radiation: Cu Kα, 1.54184 Å. Structure: a structure optimized by DFT (PBE+U).
Kinematic intensities with the Lorentz-polarization factor, no thermal factor.

Crystal structure
Cell: 5.7606 5.7606 9.4388 Å, 90.00 90.00 120.00°
Space group P-31c (No. 163)
Symmetry-distinct sites (fractional):
Nd  0.3333  0.6667  0.2500 x2
Bi  0.0000  0.0000  0.0000 x2
W  0.3333  0.6667  0.7500 x2
O  0.0529  0.3805  0.6346 x12

Largest 10 diffraction maxima, in order of rising 2θ, 5 to 70 degrees two-theta:
- 25.99°, I 100.0
- 31.05°, I 55.1
- 38.14°, I 8.6
- 40.92°, I 30.3
- 49.97°, I 40.9
- 52.24°, I 30.2
- 55.24°, I 16.4
- 61.84°, I 9.1
- 64.73°, I 7.4
- 69.10°, I 11.2